# 1
Computed PXRD pattern of MnMoW2 for Cu Kα, 1.54184 Å, from a PBE-relaxed structure.

Atomic structure:
```
MnMoW2
1.0
3.153 0.000 0.000
0.000 4.414 0.000
0.000 0.000 8.674
Mn Mo W
2 2 4
Direct
0.000 0.000 0.000 Mn
0.500 0.500 0.500 Mn
0.000 0.500 0.751 Mo
0.500 0.000 0.251 Mo
0.000 0.000 0.500 W
0.000 0.500 0.251 W
0.500 0.000 0.751 W
0.500 0.500 0.000 W
```

Principal peaks in the range 10° ≤ 2θ ≤ 90°, low angle first:
| 2θ (°) | I (rel.) |
| --- | --- |
| 22.6 | 15 |
| 30.2 | 8 |
| 37.2 | 4 |
| 40.9 | 100 |
| 41.6 | 19 |
| 51.6 | 4 |
| 58.5 | 7 |
| 59.8 | 13 |
| 73.9 | 7 |
| 74.4 | 20 |
| 75.5 | 13 |
| 88.6 | 11 |

# 2
Computed PXRD pattern of Mg2P3Pd9 for Cu Kα, 1.54184 Å, from a PBE-relaxed structure.

Atomic structure:
```
Mg2P3Pd9
1.0
6.382 -3.746 0.000
6.382 3.746 0.000
-4.028 0.000 8.898
Mg P Pd
4 6 18
Direct
0.065 0.249 0.251 Mg
0.249 0.065 0.751 Mg
0.751 0.935 0.249 Mg
0.935 0.751 0.749 Mg
0.000 0.500 0.000 P
0.168 0.683 0.518 P
0.317 0.832 0.982 P
0.500 0.000 0.500 P
0.683 0.168 0.018 P
0.832 0.317 0.482 P
0.020 0.861 0.072 Pd
0.139 0.980 0.428 Pd
0.155 0.361 0.593 Pd
0.159 0.579 0.255 Pd
0.312 0.459 0.955 Pd
0.361 0.155 0.093 Pd
0.388 0.612 0.750 Pd
0.421 0.841 0.245 Pd
0.459 0.312 0.455 Pd
0.541 0.688 0.545 Pd
0.579 0.159 0.755 Pd
0.612 0.388 0.250 Pd
0.639 0.845 0.907 Pd
0.688 0.541 0.045 Pd
0.841 0.421 0.745 Pd
0.845 0.639 0.407 Pd
0.861 0.020 0.572 Pd
0.980 0.139 0.928 Pd
```

Principal peaks in the range 10° ≤ 2θ ≤ 90°, low angle first:
| 2θ (°) | I (rel.) |
| --- | --- |
| 25.8 | 35 |
| 31.1 | 43 |
| 31.2 | 27 |
| 31.8 | 28 |
| 37.1 | 38 |
| 37.7 | 40 |
| 38.5 | 81 |
| 38.7 | 65 |
| 39.4 | 51 |
| 39.6 | 27 |
| 42.0 | 100 |
| 42.5 | 56 |

# 3
Computed PXRD pattern of Na3Hg4Pb2 for Cu Kα, 1.54184 Å, from a PBE-relaxed structure.

Atomic structure:
```
Na3Hg4Pb2
1.0
6.109 -2.553 0.000
6.109 2.553 0.000
-4.637 0.000 8.141
Na Hg Pb
3 4 2
Direct
0.000 0.000 0.000 Na
0.358 0.358 0.312 Na
0.642 0.642 0.688 Na
0.035 0.035 0.369 Hg
0.251 0.251 0.920 Hg
0.749 0.749 0.080 Hg
0.965 0.965 0.631 Hg
0.334 0.334 0.655 Pb
0.666 0.666 0.345 Pb
```

Principal peaks in the range 10° ≤ 2θ ≤ 90°, low angle first:
| 2θ (°) | I (rel.) |
| --- | --- |
| 19.9 | 44 |
| 20.0 | 61 |
| 24.1 | 66 |
| 30.7 | 56 |
| 33.0 | 24 |
| 34.9 | 100 |
| 35.2 | 51 |
| 36.8 | 37 |
| 41.0 | 35 |
| 43.1 | 25 |
| 44.6 | 21 |
| 58.0 | 19 |

# 4
Computed PXRD pattern of BaNa7 for Cu Kα, 1.54184 Å, from a PBE-relaxed structure.

Atomic structure:
```
BaNa7
1.0
14.899 0.000 0.000
0.000 11.273 0.000
-1.107 0.000 3.933
Ba Na
2 14
Direct
0.000 0.000 0.000 Ba
0.500 0.500 0.000 Ba
0.000 0.500 0.000 Na
0.132 0.279 0.631 Na
0.132 0.721 0.631 Na
0.246 0.000 0.745 Na
0.254 0.500 0.255 Na
0.368 0.221 0.369 Na
0.368 0.779 0.369 Na
0.500 0.000 0.000 Na
0.632 0.221 0.631 Na
0.632 0.779 0.631 Na
0.746 0.500 0.745 Na
0.754 0.000 0.255 Na
0.868 0.279 0.369 Na
0.868 0.721 0.369 Na
```

Principal peaks in the range 10° ≤ 2θ ≤ 90°, low angle first:
| 2θ (°) | I (rel.) |
| --- | --- |
| 12.3 | 33 |
| 20.0 | 30 |
| 20.2 | 31 |
| 24.5 | 29 |
| 26.3 | 57 |
| 27.7 | 100 |
| 28.7 | 27 |
| 28.8 | 27 |
| 29.5 | 79 |
| 31.7 | 29 |
| 34.8 | 30 |
| 43.4 | 29 |

# 5
Computed PXRD pattern of LiTcBi for Cu Kα, 1.54184 Å, from a PBE-relaxed structure.

Atomic structure:
```
LiTcBi
1.0
4.182 0.000 0.000
1.910 3.982 0.000
0.009 1.165 7.198
Li Tc Bi
2 2 2
Direct
0.000 0.000 0.000 Li
0.333 0.336 0.636 Li
0.001 0.983 0.495 Tc
0.708 0.634 0.410 Tc
0.348 0.320 0.223 Bi
0.650 0.690 0.786 Bi
```

Principal peaks in the range 10° ≤ 2θ ≤ 90°, low angle first:
| 2θ (°) | I (rel.) |
| --- | --- |
| 12.3 | 41 |
| 24.0 | 93 |
| 24.7 | 36 |
| 27.5 | 100 |
| 28.5 | 59 |
| 33.2 | 78 |
| 33.7 | 65 |
| 36.4 | 44 |
| 39.7 | 60 |
| 41.5 | 55 |
| 43.3 | 69 |
| 49.2 | 43 |

# 6
Computed PXRD pattern of Cs2YTaBr6 for Cu Kα, 1.54184 Å, from a PBE-relaxed structure.

Atomic structure:
```
Cs2YTaBr6
1.0
0.000 5.524 5.524
5.524 0.000 5.524
5.524 5.524 0.000
Cs Y Ta Br
2 1 1 6
Direct
0.250 0.250 0.250 Cs
0.750 0.750 0.750 Cs
0.000 0.000 0.000 Y
0.500 0.500 0.500 Ta
0.257 0.257 0.743 Br
0.257 0.743 0.257 Br
0.257 0.743 0.743 Br
0.743 0.257 0.257 Br
0.743 0.257 0.743 Br
0.743 0.743 0.257 Br
```

Principal peaks in the range 10° ≤ 2θ ≤ 90°, low angle first:
| 2θ (°) | I (rel.) |
| --- | --- |
| 16.0 | 17 |
| 22.8 | 63 |
| 28.0 | 44 |
| 32.4 | 100 |
| 40.0 | 28 |
| 46.5 | 71 |
| 52.4 | 14 |
| 55.1 | 18 |
| 57.8 | 25 |
| 63.0 | 15 |
| 77.2 | 32 |
| 86.3 | 24 |

# 7
Computed PXRD pattern of CeThMg17 for Cu Kα, 1.54184 Å, from a PBE-relaxed structure.

Atomic structure:
```
CeThMg17
1.0
5.118 2.955 5.062
-5.118 2.955 5.062
0.000 -5.910 5.062
Ce Th Mg
1 1 17
Direct
0.000 0.000 0.000 Ce
0.339 0.339 0.339 Th
0.021 0.021 0.507 Mg
0.021 0.507 0.021 Mg
0.169 0.667 0.667 Mg
0.317 0.317 0.828 Mg
0.317 0.828 0.317 Mg
0.366 0.668 0.971 Mg
0.366 0.971 0.668 Mg
0.507 0.021 0.021 Mg
0.569 0.569 0.569 Mg
0.667 0.169 0.667 Mg
0.667 0.667 0.169 Mg
0.668 0.366 0.971 Mg
0.668 0.971 0.366 Mg
0.767 0.767 0.767 Mg
0.828 0.317 0.317 Mg
0.971 0.366 0.668 Mg
0.971 0.668 0.366 Mg
```

Principal peaks in the range 10° ≤ 2θ ≤ 90°, low angle first:
| 2θ (°) | I (rel.) |
| --- | --- |
| 11.6 | 42 |
| 15.4 | 35 |
| 17.3 | 60 |
| 24.7 | 94 |
| 29.1 | 25 |
| 30.2 | 53 |
| 35.1 | 53 |
| 35.2 | 100 |
| 35.5 | 24 |
| 50.5 | 31 |
| 50.7 | 24 |
| 57.0 | 22 |

# 8
Computed PXRD pattern of Tb8Te3Se4 for Cu Kα, 1.54184 Å, from a PBE-relaxed structure.

Atomic structure:
```
Tb8Te3Se4
1.0
5.940 -5.950 0.000
5.940 5.950 0.000
-5.928 0.000 5.945
Tb Te Se
8 3 4
Direct
0.235 0.765 0.000 Tb
0.246 0.246 0.014 Tb
0.247 0.247 0.475 Tb
0.259 0.741 0.500 Tb
0.741 0.259 0.500 Tb
0.753 0.753 0.525 Tb
0.754 0.754 0.986 Tb
0.765 0.235 0.000 Tb
0.000 0.500 0.500 Te
0.500 0.000 0.500 Te
0.500 0.500 0.000 Te
0.000 0.000 0.000 Se
0.000 0.500 0.000 Se
0.500 0.000 0.000 Se
0.500 0.500 0.500 Se
```

Principal peaks in the range 10° ≤ 2θ ≤ 90°, low angle first:
| 2θ (°) | I (rel.) |
| --- | --- |
| 12.9 | 5 |
| 26.0 | 16 |
| 30.1 | 100 |
| 39.4 | 4 |
| 43.0 | 73 |
| 50.9 | 6 |
| 53.4 | 25 |
| 62.5 | 8 |
| 70.9 | 26 |
| 71.0 | 5 |
| 78.8 | 16 |
| 79.0 | 7 |

# 9
Computed PXRD pattern of MnCu2Cl4 for Cu Kα, 1.54184 Å, from a PBE-relaxed structure.

Atomic structure:
```
MnCu2Cl4
1.0
3.854 0.000 0.000
0.000 10.557 0.000
0.000 0.000 7.225
Mn Cu Cl
2 4 8
Direct
0.000 0.000 0.000 Mn
0.000 0.500 0.500 Mn
0.500 0.162 0.478 Cu
0.500 0.338 0.978 Cu
0.500 0.662 0.978 Cu
0.500 0.838 0.478 Cu
0.000 0.234 0.036 Cl
0.000 0.266 0.536 Cl
0.000 0.734 0.536 Cl
0.000 0.766 0.036 Cl
0.500 0.000 0.266 Cl
0.500 0.000 0.776 Cl
0.500 0.500 0.276 Cl
0.500 0.500 0.766 Cl
```

Principal peaks in the range 10° ≤ 2θ ≤ 90°, low angle first:
| 2θ (°) | I (rel.) |
| --- | --- |
| 24.6 | 64 |
| 27.6 | 100 |
| 28.2 | 81 |
| 30.0 | 45 |
| 34.0 | 27 |
| 36.8 | 28 |
| 38.2 | 36 |
| 45.2 | 25 |
| 45.6 | 21 |
| 47.2 | 33 |
| 48.8 | 72 |
| 55.9 | 22 |

# 10
Computed PXRD pattern of La8NdSm2 for Cu Kα, 1.54184 Å, from a PBE-relaxed structure.

Atomic structure:
```
La8NdSm2
1.0
9.435 -2.627 0.000
9.435 2.627 0.000
-2.178 0.000 7.997
La Nd Sm
8 1 2
Direct
0.046 0.046 0.226 La
0.137 0.137 0.685 La
0.318 0.318 0.589 La
0.409 0.409 0.045 La
0.591 0.591 0.955 La
0.682 0.682 0.411 La
0.863 0.863 0.315 La
0.954 0.954 0.774 La
0.500 0.500 0.500 Nd
0.227 0.227 0.135 Sm
0.773 0.773 0.865 Sm
```

Principal peaks in the range 10° ≤ 2θ ≤ 90°, low angle first:
| 2θ (°) | I (rel.) |
| --- | --- |
| 29.5 | 100 |
| 34.1 | 17 |
| 34.2 | 34 |
| 49.1 | 12 |
| 49.1 | 18 |
| 49.2 | 6 |
| 58.3 | 15 |
| 58.4 | 29 |
| 61.2 | 12 |
| 72.1 | 4 |
| 79.7 | 12 |
| 82.3 | 8 |

# 11
Computed PXRD pattern of Na2BRhO4 for Cu Kα, 1.54184 Å, from a PBE-relaxed structure.

Atomic structure:
```
Na2BRhO4
1.0
5.478 0.000 0.000
0.000 5.478 0.000
0.000 0.000 5.955
Na B Rh O
4 2 2 8
Direct
0.000 0.000 0.000 Na
0.000 0.500 0.250 Na
0.500 0.000 0.750 Na
0.500 0.500 0.500 Na
0.000 0.500 0.750 B
0.500 0.000 0.250 B
0.000 0.000 0.500 Rh
0.500 0.500 0.000 Rh
0.135 0.678 0.604 O
0.178 0.365 0.896 O
0.322 0.135 0.396 O
0.365 0.822 0.104 O
0.635 0.178 0.104 O
0.678 0.865 0.396 O
0.822 0.635 0.896 O
0.865 0.322 0.604 O
```

Principal peaks in the range 10° ≤ 2θ ≤ 90°, low angle first:
| 2θ (°) | I (rel.) |
| --- | --- |
| 22.0 | 100 |
| 23.0 | 33 |
| 30.0 | 19 |
| 32.7 | 44 |
| 38.1 | 81 |
| 39.8 | 40 |
| 45.0 | 17 |
| 46.9 | 23 |
| 48.8 | 13 |
| 52.8 | 19 |
| 62.0 | 39 |
| 72.2 | 13 |

# 12
Computed PXRD pattern of Li2Tl3CuF9 for Cu Kα, 1.54184 Å, from a PBE-relaxed structure.

Atomic structure:
```
Li2Tl3CuF9
1.0
5.735 0.000 0.000
-2.867 4.967 0.000
0.000 0.000 7.070
Li Tl Cu F
2 3 1 9
Direct
0.333 0.667 0.164 Li
0.667 0.333 0.836 Li
0.000 0.000 0.000 Tl
0.333 0.667 0.707 Tl
0.667 0.333 0.293 Tl
0.000 0.000 0.500 Cu
0.000 0.500 0.000 F
0.161 0.323 0.341 F
0.161 0.839 0.341 F
0.323 0.161 0.659 F
0.500 0.000 0.000 F
0.500 0.500 0.000 F
0.677 0.839 0.341 F
0.839 0.161 0.659 F
0.839 0.677 0.659 F
```

Principal peaks in the range 10° ≤ 2θ ≤ 90°, low angle first:
| 2θ (°) | I (rel.) |
| --- | --- |
| 21.9 | 100 |
| 31.1 | 76 |
| 31.2 | 73 |
| 38.2 | 13 |
| 38.4 | 53 |
| 44.6 | 50 |
| 50.1 | 14 |
| 50.3 | 24 |
| 55.4 | 46 |
| 61.6 | 12 |
| 65.1 | 16 |
| 73.8 | 13 |